Entry 1:
For SrHg4Bi, DFT lattice parameters and positions (PBE) gives the simulated powder diffractogram in this record (a wavelength of 1.5418 Å).
Neutral-atom scattering factors, no anomalous dispersion.

Principal peaks in the range 2θ = 10–80°, by intensity:
2theta	I (rel.)
33.68	1000
35.23	514
53.99	355
59.23	322
70.82	210
17.41	188
28.61	175
69.90	125
40.90	101
50.68	74

Structure:
```
SrHg4Bi
1.0
0.000 4.413 4.413
4.413 0.000 4.413
4.413 4.413 0.000
Sr Hg Bi
1 4 1
Direct
0.000 0.000 0.000
0.376 0.376 0.376
0.376 0.376 0.873
0.376 0.873 0.376
0.873 0.376 0.376
0.750 0.750 0.750
```


Entry 2:
For LaGa2PtAu, DFT lattice parameters and positions (PBE) gives the simulated powder diffractogram in this record (a wavelength of 1.5418 Å).
Neutral-atom scattering factors, no anomalous dispersion.

Principal peaks in the range 2θ = 10–80°, by intensity:
2theta	I (rel.)
33.80	1000
62.65	301
30.81	299
43.21	272
42.11	247
44.09	217
44.21	210
22.92	187
54.75	121
43.72	120

Structure:
```
LaGa2PtAu
1.0
4.108 0.000 0.000
0.000 4.291 0.000
0.000 0.000 11.819
La Ga Pt Au
2 4 2 2
Direct
0.000 0.000 0.000
0.500 0.500 0.500
0.000 0.000 0.380
0.000 0.500 0.235
0.500 0.000 0.735
0.500 0.500 0.880
0.000 0.000 0.589
0.500 0.500 0.089
0.000 0.500 0.749
0.500 0.000 0.249
```


Entry 3:
For PaI4, DFT lattice parameters and positions (PBE) gives the simulated powder diffractogram in this record (a wavelength of 1.5418 Å).
Neutral-atom scattering factors, no anomalous dispersion.

Principal peaks in the range 2θ = 10–80°, by intensity:
2theta	I (rel.)
26.96	1000
17.53	718
32.32	342
14.31	268
45.10	234
34.46	226
39.42	221
37.53	192
34.00	177
43.90	147

Structure:
```
PaI4
1.0
3.580 -10.694 0.000
3.580 10.694 0.000
0.000 0.000 7.586
Pa I
2 8
Direct
0.194 0.806 0.750
0.806 0.194 0.250
0.063 0.460 0.579
0.135 0.336 0.084
0.336 0.135 0.916
0.460 0.063 0.421
0.540 0.937 0.921
0.664 0.865 0.416
0.865 0.664 0.584
0.937 0.540 0.079
```


Number 1 is which compound?
SrHg4Bi


Repeat the first record exactly.
For SrHg4Bi, DFT lattice parameters and positions (PBE) gives the simulated powder diffractogram in this record (a wavelength of 1.5418 Å).
Neutral-atom scattering factors, no anomalous dispersion.

Principal peaks in the range 2θ = 10–80°, by intensity:
2theta	I (rel.)
33.68	1000
35.23	514
53.99	355
59.23	322
70.82	210
17.41	188
28.61	175
69.90	125
40.90	101
50.68	74

Structure:
```
SrHg4Bi
1.0
0.000 4.413 4.413
4.413 0.000 4.413
4.413 4.413 0.000
Sr Hg Bi
1 4 1
Direct
0.000 0.000 0.000
0.376 0.376 0.376
0.376 0.376 0.873
0.376 0.873 0.376
0.873 0.376 0.376
0.750 0.750 0.750
```